Calculated powder diffractogram of PaGeH2Rh2 for λ = 1.5418 Å (Cu Kα), from a crystal structure in Alexandria, relaxed with PBE.

Largest 10 diffraction maxima, sorted by position, 2θ from 15° to 90°:
4.039 Å, I = 33
3.692 Å, I = 45
2.832 Å, I = 40
2.624 Å, I = 28
2.567 Å, I = 26
2.541 Å, I = 40
2.405 Å, I = 53
2.334 Å, I = 100
2.290 Å, I = 33
2.202 Å, I = 89

Structure:
```
data_PaGeH2Rh2
_chemical_formula_sum 'Pa2 Ge2 H4 Rh4'
_symmetry_space_group_name_H-M 'P 1 21/m 1'
_symmetry_Int_Tables_number 11
_cell_length_a 4.868
_cell_length_b 5.761
_cell_length_c 5.732
_cell_angle_alpha 90.00
_cell_angle_beta 98.90
_cell_angle_gamma 90.00
loop_
_symmetry_equiv_pos_as_xyz
'x,y,z'
'-x,-y,-z'
'-x,y+1/2,-z'
'x,-y+1/2,z'
loop_
_atom_site_label
_atom_site_fract_x
_atom_site_fract_y
_atom_site_fract_z
Pa1 0.199 0.250 0.176
Ge1 0.182 0.750 0.303
H1 0.294 0.750 0.846
H2 0.398 0.250 0.845
Rh1 0.290 0.009 0.662
```